The following is a calculated powder X-ray diffraction pattern of Na2NiO3. It was derived from the GGA+U geometry in the Materials Project, using Cu Kα (weighted mean of Kα1 and Kα2).
Intensities are scaled so that the largest is 100.

Largest 10 diffraction maxima, in order of rising 2θ, 5 to 70 degrees two-theta:
| 2θ (°) | Rel. int. | h k l |
| --- | --- | --- |
| 16.7 | 77 | 0 0 2 |
| 19.9 | 15 | 1 1 0 |
| 33.8 | 21 | 0 0 4 |
| 36.3 | 15 | 2 0 -2 |
| 36.4 | 30 | 1 3 1 |
| 41.4 | 100 | 1 3 -3 |
| 41.6 | 49 | 2 0 2 |
| 58.2 | 14 | 2 0 -6 |
| 58.5 | 27 | 1 3 5 |
| 61.8 | 37 | 0 6 0 |

a b c (Å): 5.2024 9.0094 10.7598
angles (deg): 90.00 99.66 90.00
Space group C2/c (No. 15)
Asymmetric unit:
Na 0.0000 0.0844 0.2500 x4
Na 0.2367 0.0790 0.9994 x8
Na 0.2500 0.2500 0.5000 x4
Ni 0.0000 0.2496 0.7500 x4
Ni 0.0000 0.4174 0.2500 x4
O 0.0876 0.4159 0.6520 x8
O 0.1550 0.1043 0.6517 x8
O 0.1554 0.2731 0.1518 x8

***

The following is a calculated powder X-ray diffraction pattern of Na9Ni11O20. It was derived from the GGA+U geometry in the Materials Project, using Cu Kα (weighted mean of Kα1 and Kα2).
Intensities are scaled so that the largest is 100.

Largest 10 diffraction maxima, in order of rising 2θ, 5 to 70 degrees two-theta:
| 2θ (°) | Rel. int. | h k l |
| --- | --- | --- |
| 17.1 | 100 | 1 0 -1 |
| 34.7 | 34 | 2 0 -2 |
| 36.3 | 27 | 1 -1 3 |
| 36.8 | 49 | 1 -3 1 |
| 40.7 | 73 | 3 -1 1 |
| 42.5 | 62 | 0 2 2 |
| 42.8 | 61 | 1 3 -3 |
| 59.2 | 19 | -3 3 1 |
| 59.5 | 18 | 4 2 -2 |
| 61.4 | 19 | 3 1 3 |

a b c (Å): 7.0490 7.7693 8.0493
angles (deg): 114.75 91.47 91.55
Space group P-1 (No. 2)
Asymmetric unit:
Na 0.0000 0.0000 0.0000 x1
Na 0.0955 0.3979 0.1015 x2
Na 0.1997 0.7990 0.1973 x2
Na 0.2974 0.1986 0.2970 x2
Na 0.4011 0.5986 0.3993 x2
Ni 0.0000 0.5000 0.5000 x1
Ni 0.1069 0.8991 0.5995 x2
Ni 0.2074 0.2949 0.6979 x2
Ni 0.3047 0.7004 0.7979 x2
Ni 0.4064 0.0958 0.8915 x2
Ni 0.5000 0.0000 0.5000 x1
Ni 0.5000 0.5000 0.0000 x1
O 0.0304 0.7412 0.7207 x2
O 0.0778 0.6602 0.3835 x2
O 0.1216 0.1379 0.8140 x2
O 0.1946 0.0548 0.4796 x2
O 0.2364 0.5231 0.9254 x2
O 0.2768 0.4520 0.5768 x2
O 0.3199 0.9476 0.0167 x2
O 0.3928 0.8708 0.6650 x2
O 0.4243 0.3354 0.1120 x2
O 0.4862 0.2326 0.7547 x2

***

The following is a calculated powder X-ray diffraction pattern of Na8Ni9O18. It was derived from the GGA+U geometry in the Materials Project, using Cu Kα (weighted mean of Kα1 and Kα2).
Intensities are scaled so that the largest is 100.

Largest 10 diffraction maxima, in order of rising 2θ, 5 to 70 degrees two-theta:
| 2θ (°) | Rel. int. | h k l |
| --- | --- | --- |
| 16.7 | 100 | 1 0 -1 |
| 33.8 | 21 | 2 0 -2 |
| 36.6 | 20 | 1 1 3 |
| 37.4 | 13 | 1 -2 0 |
| 37.5 | 12 | 2 3 1 |
| 41.0 | 42 | 3 1 1 |
| 42.6 | 36 | 1 2 -2 |
| 43.2 | 34 | 0 3 3 |
| 58.8 | 11 | 4 3 -1 |
| 65.1 | 11 | 1 5 1 |

a b c (Å): 7.0836 7.5919 8.0640
angles (deg): 66.05 89.67 66.07
Space group P-1 (No. 2)
Asymmetric unit:
Na 0.0539 0.2783 0.0556 x2
Na 0.1819 0.8216 0.1781 x2
Na 0.2890 0.3877 0.2893 x2
Na 0.3918 0.9248 0.3967 x2
Ni 0.0506 0.7807 0.5526 x2
Ni 0.1659 0.3324 0.6667 x2
Ni 0.2786 0.8843 0.7838 x2
Ni 0.3825 0.4466 0.8882 x2
Ni 0.5000 0.0000 0.0000 x1
O 0.0337 0.0253 0.3359 x2
O 0.0684 0.5340 0.7686 x2
O 0.1160 0.6024 0.4298 x2
O 0.2115 0.0626 0.9085 x2
O 0.2625 0.1286 0.5668 x2
O 0.3016 0.6386 0.0006 x2
O 0.3585 0.6921 0.6751 x2
O 0.4073 0.1977 0.1047 x2
O 0.4548 0.2513 0.7784 x2

***

The following is a calculated powder X-ray diffraction pattern of Na3Ni7O12. It was derived from the GGA+U geometry in the Materials Project, using Cu Kα (weighted mean of Kα1 and Kα2).
Intensities are scaled so that the largest is 100.

Largest 10 diffraction maxima, in order of rising 2θ, 5 to 70 degrees two-theta:
| 2θ (°) | Rel. int. | h k l |
| --- | --- | --- |
| 17.2 | 100 | 1 0 0 |
| 34.9 | 22 | 2 0 0 |
| 37.1 | 16 | 0 2 1 |
| 37.5 | 15 | 1 0 -3 |
| 37.8 | 15 | 1 -2 2 |
| 42.6 | 89 | -2 2 1 |
| 43.3 | 42 | 1 2 -2 |
| 60.1 | 12 | 2 2 1 |
| 60.5 | 12 | 3 -2 2 |
| 63.1 | 12 | -1 2 4 |

a b c (Å): 5.4149 5.8238 7.6948
angles (deg): 99.58 95.80 105.98
Space group P1 (No. 1)
Asymmetric unit:
Na 0.0000 0.0000 0.0000 x1
Na 0.0028 0.1892 0.6545 x1
Na 0.9944 0.4964 0.0056 x1
Ni 0.4903 0.0786 0.8378 x1
Ni 0.4922 0.7485 0.5007 x1
Ni 0.4975 0.4140 0.1746 x1
Ni 0.4982 0.5859 0.8331 x1
Ni 0.5029 0.2513 0.5024 x1
Ni 0.5111 0.9195 0.1772 x1
Ni 0.9974 0.8216 0.3478 x1
O 0.2850 0.9559 0.5684 x1
O 0.2935 0.6616 0.2692 x1
O 0.3021 0.4864 0.5835 x1
O 0.3025 0.1134 0.2653 x1
O 0.3057 0.3071 0.9229 x1
O 0.3158 0.8177 0.9459 x1
O 0.6795 0.8634 0.7368 x1
O 0.6821 0.3417 0.7436 x1
O 0.6991 0.5519 0.4204 x1
O 0.7034 0.1818 0.0903 x1
O 0.7069 0.0026 0.4077 x1
O 0.7217 0.7187 0.1079 x1

***

The following is a calculated powder X-ray diffraction pattern of Na3Ni2O4. It was derived from the GGA+U geometry in the Materials Project, using Cu Kα (weighted mean of Kα1 and Kα2).
Intensities are scaled so that the largest is 100.

Largest 10 diffraction maxima, in order of rising 2θ, 5 to 70 degrees two-theta:
| 2θ (°) | Rel. int. | h k l |
| --- | --- | --- |
| 19.0 | 100 | 1 0 1 |
| 20.6 | 53 | 0 0 2 |
| 33.5 | 12 | 2 1 0 |
| 35.2 | 55 | 1 0 3 |
| 36.4 | 21 | 1 1 3 |
| 40.7 | 23 | 1 4 1 |
| 41.6 | 17 | 0 4 2 |
| 48.8 | 21 | 2 4 0 |
| 51.0 | 29 | 1 4 3 |
| 68.1 | 13 | 1 4 5 |

a b c (Å): 5.5517 10.0685 8.6074
angles (deg): 90.00 90.00 90.00
Space group Pnma (No. 62)
Asymmetric unit:
Na 0.0543 0.0970 0.1492 x8
Na 0.1520 0.2500 0.8253 x4
Ni 0.0591 0.1225 0.4867 x8
O 0.1096 0.7500 0.6413 x4
O 0.1907 0.5332 0.3963 x8
O 0.2211 0.7500 0.0649 x4

***

The following is a calculated powder X-ray diffraction pattern of Na4Ni2O5. It was derived from the GGA+U geometry in the Materials Project, using Cu Kα (weighted mean of Kα1 and Kα2).
Intensities are scaled so that the largest is 100.

Largest 10 diffraction maxima, in order of rising 2θ, 5 to 70 degrees two-theta:
| 2θ (°) | Rel. int. | h k l |
| --- | --- | --- |
| 15.7 | 70 | 0 0 2 |
| 22.1 | 47 | 2 0 0 |
| 25.9 | 62 | 2 1 -2 |
| 32.8 | 43 | 2 0 2 |
| 33.3 | 38 | 2 1 -4 |
| 34.7 | 46 | 3 1 -3 |
| 35.9 | 100 | 1 2 1 |
| 39.6 | 75 | 1 1 -5 |
| 43.3 | 60 | 4 1 -2 |
| 60.6 | 28 | 3 2 3 |

a b c (Å): 9.0739 5.6199 12.6940
angles (deg): 90.00 117.49 90.00
Space group P2_1/c (No. 14)
Asymmetric unit:
Na 0.1090 0.1186 0.1302 x4
Na 0.2023 0.5879 0.0399 x4
Na 0.3008 0.0720 0.9627 x4
Na 0.3751 0.6266 0.8613 x4
Ni 0.0420 0.6166 0.2000 x4
Ni 0.4557 0.1560 0.7972 x4
O 0.0491 0.2363 0.9436 x4
O 0.0887 0.6588 0.8232 x4
O 0.2580 0.5204 0.2414 x4
O 0.3912 0.0822 0.1929 x4
O 0.4705 0.7347 0.0532 x4

***

The following is a calculated powder X-ray diffraction pattern of Na3Ni2O4. It was derived from the GGA+U geometry in the Materials Project, using Cu Kα (weighted mean of Kα1 and Kα2).
Intensities are scaled so that the largest is 100.

Largest 10 diffraction maxima, in order of rising 2θ, 5 to 70 degrees two-theta:
| 2θ (°) | Rel. int. | h k l |
| --- | --- | --- |
| 19.3 | 100 | 1 1 0 |
| 22.3 | 48 | 0 2 0 |
| 23.9 | 51 | 0 2 1 |
| 31.7 | 30 | 2 0 0 |
| 34.2 | 21 | 0 0 4 |
| 37.4 | 42 | 1 3 0 |
| 38.4 | 27 | 1 3 1 |
| 39.6 | 35 | 1 1 4 |
| 47.3 | 81 | 2 0 4 |
| 52.9 | 19 | 2 2 4 |

a b c (Å): 5.6501 7.9726 10.4828
angles (deg): 90.00 90.00 90.00
Space group Cmcm (No. 63)
Asymmetric unit:
Na 0.0000 0.1487 0.0647 x8
Na 0.0000 0.1858 0.7500 x4
Ni 0.0000 0.4281 0.2500 x4
Ni 0.0000 0.5000 0.0000 x4
O 0.2181 0.4218 0.1194 x16

***

The following is a calculated powder X-ray diffraction pattern of Na7Ni17O24. It was derived from the GGA+U geometry in the Materials Project, using Cu Kα (weighted mean of Kα1 and Kα2).
Intensities are scaled so that the largest is 100.

Largest 10 diffraction maxima, in order of rising 2θ, 5 to 70 degrees two-theta:
| 2θ (°) | Rel. int. | h k l |
| --- | --- | --- |
| 17.8 | 24 | 0 1 -1 |
| 36.0 | 25 | 0 2 -2 |
| 36.4 | 46 | 2 0 2 |
| 36.7 | 22 | -2 2 2 |
| 42.1 | 100 | 0 2 4 |
| 42.6 | 48 | 2 -2 4 |
| 60.5 | 14 | 2 2 0 |
| 61.0 | 14 | 0 2 -8 |
| 61.3 | 14 | 2 -4 0 |
| 61.5 | 28 | -2 2 8 |

a b c (Å): 5.9880 6.0466 14.7950
angles (deg): 90.09 90.21 118.87
Space group P1 (No. 1)
Asymmetric unit:
Na 0.0000 0.0000 0.0000 x1
Na 0.0127 0.5097 0.4984 x1
Na 0.1754 0.3370 0.3335 x1
Na 0.3372 0.1649 0.1679 x1
Na 0.3498 0.6751 0.6665 x1
Na 0.4994 0.9994 0.0020 x1
Na 0.8513 0.6753 0.6644 x1
Ni 0.0051 0.5029 0.0010 x1
Ni 0.0127 0.0108 0.4981 x1
Ni 0.1755 0.3376 0.8331 x1
Ni 0.1749 0.8369 0.3328 x1
Ni 0.1757 0.8377 0.8333 x1
Ni 0.3368 0.6638 0.1681 x1
Ni 0.3446 0.1717 0.6657 x1
Ni 0.5001 0.4970 0.0027 x1
Ni 0.5066 0.5063 0.5020 x1
Ni 0.5144 0.0107 0.4983 x1
Ni 0.6754 0.3376 0.8332 x1
Ni 0.6754 0.8374 0.8333 x1
Ni 0.6759 0.3374 0.3330 x1
Ni 0.6758 0.8371 0.3328 x1
Ni 0.8361 0.6644 0.1683 x1
Ni 0.8427 0.1684 0.1650 x1
Ni 0.8506 0.1780 0.6651 x1
O 0.0167 0.0203 0.7553 x1
O 0.0170 0.4838 0.7602 x1
O 0.1336 0.7918 0.0935 x1
O 0.1710 0.3598 0.0828 x1
O 0.1789 0.3148 0.5837 x1
O 0.2154 0.8821 0.5729 x1
O 0.3336 0.1917 0.9059 x1
O 0.3346 0.6541 0.9107 x1
O 0.3625 0.1618 0.4218 x1
O 0.3809 0.7067 0.4139 x1
O 0.5106 0.4813 0.7621 x1
O 0.5232 0.9886 0.2589 x1
O 0.5257 0.0323 0.7580 x1
O 0.5451 0.5308 0.2485 x1
O 0.6514 0.3103 0.5818 x1
O 0.6703 0.8114 0.0962 x1
O 0.6784 0.8633 0.5700 x1
O 0.6973 0.3608 0.0837 x1
O 0.8045 0.1435 0.4184 x1
O 0.8259 0.6429 0.9080 x1
O 0.8282 0.6867 0.4071 x1
O 0.8406 0.1939 0.9039 x1
O 0.9726 0.9728 0.2532 x1
O 0.9895 0.5121 0.2454 x1